RbMg14Cr: simulated powder XRD pattern (Cu Kα (weighted mean of Kα1 and Kα2)), based on a DFT-relaxed cell (PBE, the Materials Project).
Kinematic intensities with the Lorentz-polarization factor, no thermal factor.

Atomic structure:
```
RbMg14Cr
1.0
6.4945 0.0000 0.0000
-3.2472 5.6244 0.0000
0.0000 0.0000 10.7082
Rb Mg Cr
1 14 1
Cartesian
0.0000 0.0000 0.0000 Rb
-1.5939 2.8294 0.0000 Mg
0.0000 1.9062 2.9120 Mg
0.0000 1.9062 7.7962 Mg
-1.5965 4.6713 2.9120 Mg
-1.5965 4.6713 7.7962 Mg
1.5939 2.8294 0.0000 Mg
0.0000 5.5900 0.0000 Mg
3.2472 0.0239 5.3541 Mg
1.6443 2.8002 5.3541 Mg
1.5965 4.6713 2.9120 Mg
1.5965 4.6713 7.7962 Mg
3.2472 1.8748 2.6155 Mg
3.2472 1.8748 8.0927 Mg
4.8502 2.8002 5.3541 Mg
0.0000 0.0000 5.3541 Cr
```

Largest 8 diffraction maxima, by angle, 2θ from 10° to 90°:
2θ (°)	I/Imax	index
15.76	15.3	1 0 0
31.82	26.2	2 0 0
33.47	25.3	0 0 4
36.08	100.0	2 0 2
46.86	16.5	2 0 4
56.69	17.1	2 2 0
61.54	16.9	2 0 6
67.47	17.9	2 2 4